Entry 1:
Starting from a cell relaxed with GGA-PBE, the X-ray powder pattern of La2Y2Er7 was calculated for copper Kα.

```
La2Y2Er7
1.0
3.595 0.000 0.000
1.717 9.475 0.000
1.766 3.567 10.548
La Y Er
2 2 7
direct
0.024 0.208 0.255
0.976 0.792 0.745
0.196 0.813 0.288
0.804 0.187 0.712
0.118 0.419 0.867
0.327 0.881 0.961
0.336 0.408 0.417
0.500 0.000 0.500
0.664 0.592 0.583
0.673 0.119 0.039
0.882 0.581 0.133
```

Main lines, in order of rising 2θ (15 to 90 degrees two-theta):
| 2theta | intensity |
| --- | --- |
| 29.2 | 24 |
| 30.0 | 59 |
| 32.0 | 100 |
| 32.2 | 19 |
| 32.5 | 19 |
| 33.5 | 21 |
| 34.4 | 32 |
| 34.7 | 29 |
| 50.8 | 24 |
| 60.0 | 22 |



Entry 2:
Starting from a cell relaxed with GGA-PBE, the X-ray powder pattern of Ac5Cd4Ag was calculated for copper Kα.

```
Ac5Cd4Ag
1.0
4.060 0.000 0.000
0.000 4.060 0.000
0.000 0.000 20.217
Ac Cd Ag
5 4 1
direct
0.000 0.000 0.000
0.000 0.000 0.203
0.000 0.000 0.405
0.000 0.000 0.595
0.000 0.000 0.797
0.500 0.500 0.101
0.500 0.500 0.302
0.500 0.500 0.698
0.500 0.500 0.899
0.500 0.500 0.500
```

Main lines, in order of rising 2θ (15 to 90 degrees two-theta):
| 2theta | intensity |
| --- | --- |
| 21.9 | 11 |
| 31.2 | 100 |
| 44.6 | 13 |
| 44.8 | 6 |
| 55.5 | 26 |
| 55.6 | 13 |
| 65.1 | 8 |
| 73.8 | 11 |
| 74.1 | 5 |
| 82.4 | 4 |



Entry 3:
Starting from a cell relaxed with GGA-PBE, the X-ray powder pattern of Nd7Tl5Zn was calculated for copper Kα.

```
Nd7Tl5Zn
1.0
-3.425 5.381 5.530
3.425 -5.381 5.530
3.425 5.381 -5.530
Nd Tl Zn
7 5 1
direct
0.000 0.000 0.000
0.295 0.604 0.690
0.370 0.370 0.000
0.413 0.087 0.326
0.762 0.087 0.674
0.830 0.330 0.500
0.914 0.604 0.310
0.086 0.089 0.477
0.086 0.609 0.997
0.338 0.838 0.500
0.612 0.089 0.003
0.612 0.609 0.523
0.659 0.659 0.000
```

Main lines, in order of rising 2θ (15 to 90 degrees two-theta):
| 2theta | intensity |
| --- | --- |
| 16.0 | 26 |
| 30.7 | 29 |
| 30.9 | 36 |
| 32.4 | 38 |
| 32.5 | 40 |
| 33.3 | 23 |
| 35.0 | 100 |
| 37.2 | 27 |
| 58.0 | 17 |
| 59.5 | 28 |



Entry 4:
Starting from a cell relaxed with GGA-PBE, the X-ray powder pattern of La2TiS5 was calculated for copper Kα.

```
La2TiS5
1.0
11.295 0.000 0.000
0.000 8.165 0.000
0.000 0.000 7.325
La Ti S
8 4 20
direct
0.170 0.001 0.074
0.170 0.499 0.074
0.330 0.501 0.574
0.330 0.999 0.574
0.670 0.001 0.426
0.670 0.499 0.426
0.830 0.501 0.926
0.830 0.999 0.926
0.010 0.250 0.575
0.490 0.750 0.075
0.510 0.250 0.925
0.990 0.750 0.425
0.008 0.250 0.933
0.062 0.531 0.678
0.062 0.969 0.678
0.191 0.250 0.376
0.202 0.750 0.360
0.298 0.250 0.860
0.309 0.750 0.876
0.438 0.031 0.178
0.438 0.469 0.178
0.492 0.750 0.433
0.508 0.250 0.567
0.562 0.531 0.822
0.562 0.969 0.822
0.691 0.250 0.124
0.702 0.750 0.140
0.798 0.250 0.640
0.809 0.750 0.624
0.938 0.031 0.322
0.938 0.469 0.322
0.992 0.750 0.067
```

Main lines, in order of rising 2θ (15 to 90 degrees two-theta):
| 2theta | intensity |
| --- | --- |
| 21.8 | 35 |
| 25.6 | 31 |
| 26.2 | 38 |
| 26.6 | 66 |
| 33.8 | 100 |
| 34.0 | 34 |
| 34.6 | 100 |
| 36.6 | 31 |
| 44.4 | 34 |
| 46.2 | 35 |